Diffraction record for KPtNCl3. The X-ray diffraction stick pattern is calculated, not measured: it uses a crystal structure in the Materials Project, relaxed with GGA-PBE and λ = 1.5418 Å (Cu Kα).
Lines closer than 0.1° are merged.

Crystal structure
```
data_KPtNCl3
_symmetry_space_group_name_H-M 'C m c m'
_symmetry_Int_Tables_number 63
_symmetry_space_group_name_Hall '-C 2c 2'
_cell_length_a 4.3444
_cell_length_b 17.5904
_cell_length_c 9.4505
_cell_angle_alpha 90.00
_cell_angle_beta 90.00
_cell_angle_gamma 90.00
loop_
_atom_site_label
_atom_site_fract_x
_atom_site_fract_y
_atom_site_fract_z
K1 0.0000 0.0000 0.0000
Pt1 0.0000 0.3400 0.2500
N1 0.0000 0.2406 0.2500
Cl1 0.0000 0.3543 0.0054
Cl2 0.0000 0.4808 0.2500
```

Principal peaks in the range 2θ = 10–80°, in order of falling intensity:
- 2θ = 13.75°, 6.438 Å, I 100, hkl 0 2 1
- 2θ = 23.09°, 3.852 Å, I 61, hkl 1 1 1
- 2θ = 25.52°, 3.491 Å, I 50, hkl 1 3 0
- 2θ = 38.06°, 2.364 Å, I 24, hkl 0 0 4
- 2θ = 21.06°, 4.218 Å, I 24, hkl 1 1 0
- 2θ = 28.36°, 3.147 Å, I 20, hkl 1 1 2
- 2θ = 41.55°, 2.173 Å, I 20, hkl 2 0 0
- 2θ = 30.49°, 2.932 Å, I 20, hkl 0 6 0
- 2θ = 46.41°, 1.957 Å, I 19, hkl 1 3 4
- 2θ = 35.57°, 2.524 Å, I 18, hkl 1 1 3